[1]
The following is a calculated XRD peak list of CrHgRh. It was derived from a GGA-PBE-relaxed structure, using Cu Kα (λ = 1.5418 Å).

```
data_CrHgRh
_symmetry_space_group_name_H-M 'I m m 2'
_symmetry_Int_Tables_number 44
_cell_length_a 3.0258
_cell_length_b 3.3926
_cell_length_c 9.6034
_cell_angle_alpha 90.00
_cell_angle_beta 90.00
_cell_angle_gamma 90.00
loop_
_symmetry_equiv_pos_as_xyz
'x,y,z'
'-x,-y,z'
'-x,y,z'
'x,-y,z'
'x+1/2,y+1/2,z+1/2'
'-x+1/2,-y+1/2,z+1/2'
'-x+1/2,y+1/2,z+1/2'
'x+1/2,-y+1/2,z+1/2'
loop_
_atom_site_label
_atom_site_type_symbol
_atom_site_fract_x
_atom_site_fract_y
_atom_site_fract_z
Cr1 Cr 0.0000 0.0000 0.0000
Hg1 Hg 0.0000 0.0000 0.3133
Rh1 Rh 0.0000 0.0000 0.6212
```

Largest 10 diffraction maxima, by angle, 10 to 90 degrees two-theta:
| h k l | Position (°2θ) | I_rel |
| --- | --- | --- |
| 0 1 1 | 27.89 | 44 |
| 1 0 1 | 30.99 | 34 |
| 0 0 4 | 37.46 | 22 |
| 0 1 3 | 38.67 | 100 |
| 1 1 0 | 39.92 | 99 |
| 1 0 3 | 41.05 | 85 |
| 1 1 4 | 55.90 | 28 |
| 1 2 3 | 70.06 | 34 |
| 1 1 6 | 72.37 | 25 |
| 2 1 3 | 74.85 | 28 |

[2]
The following is a calculated XRD peak list of K3GaF7. It was derived from a GGA-PBE-relaxed structure, using Cu Kα (λ = 1.5418 Å).

```
data_K3GaF7
_symmetry_space_group_name_H-M 'C 1 m 1'
_symmetry_Int_Tables_number 8
_cell_length_a 8.3450
_cell_length_b 8.3169
_cell_length_c 6.5909
_cell_angle_alpha 90.00
_cell_angle_beta 120.83
_cell_angle_gamma 90.00
loop_
_symmetry_equiv_pos_as_xyz
'x,y,z'
'x,-y,z'
'x+1/2,y+1/2,z'
'x+1/2,-y+1/2,z'
loop_
_atom_site_label
_atom_site_type_symbol
_atom_site_fract_x
_atom_site_fract_y
_atom_site_fract_z
K1 K 0.0000 0.0000 0.0000
K2 K 0.4900 0.2185 0.4812
Ga1 Ga 0.0008 0.5000 0.9896
F1 F 0.1127 0.0000 0.4496
F2 F 0.1399 0.5000 0.8316
F3 F 0.1505 0.3323 0.2052
F4 F 0.3485 0.0000 0.1285
F5 F 0.3533 0.1777 0.7803
```

Largest 10 diffraction maxima, by angle, 10 to 90 degrees two-theta:
| h k l | Position (°2θ) | I_rel |
| --- | --- | --- |
| 1 1 0 | 16.33 | 62 |
| 1 1 -1 | 17.71 | 23 |
| 2 0 0 | 24.85 | 48 |
| 0 2 1 | 26.60 | 100 |
| 2 0 -2 | 28.46 | 55 |
| 2 2 -1 | 30.50 | 28 |
| 1 3 1 | 40.97 | 30 |
| 2 2 1 | 42.14 | 50 |
| 2 2 -3 | 46.77 | 28 |
| 4 2 -1 | 49.91 | 25 |

[3]
The following is a calculated XRD peak list of Ti3Nb4W2. It was derived from a GGA-PBE-relaxed structure, using Cu Kα (λ = 1.5418 Å).

```
data_Ti3Nb4W2
_symmetry_space_group_name_H-M 'C 1 2/m 1'
_symmetry_Int_Tables_number 12
_cell_length_a 13.6162
_cell_length_b 3.2589
_cell_length_c 7.2543
_cell_angle_alpha 90.00
_cell_angle_beta 105.46
_cell_angle_gamma 90.00
loop_
_symmetry_equiv_pos_as_xyz
'x,y,z'
'-x,-y,-z'
'-x,y,-z'
'x,-y,z'
'x+1/2,y+1/2,z'
'-x+1/2,-y+1/2,-z'
'-x+1/2,y+1/2,-z'
'x+1/2,-y+1/2,z'
loop_
_atom_site_label
_atom_site_type_symbol
_atom_site_fract_x
_atom_site_fract_y
_atom_site_fract_z
Ti1 Ti 0.0000 0.0000 0.0000
Ti2 Ti 0.1175 0.0000 0.6974
Nb1 Nb 0.0500 0.5000 0.3411
Nb2 Nb 0.2161 0.0000 0.3293
W1 W 0.1700 0.5000 0.0097
```

Largest 10 diffraction maxima, by angle, 10 to 90 degrees two-theta:
| h k l | Position (°2θ) | I_rel |
| --- | --- | --- |
| 0 0 1 | 12.66 | 20 |
| 2 0 0 | 13.49 | 13 |
| 2 0 1 | 20.89 | 12 |
| 3 1 1 | 38.65 | 100 |
| 3 1 -2 | 39.63 | 63 |
| 6 0 -1 | 39.77 | 31 |
| 6 0 2 | 55.15 | 11 |
| 0 2 0 | 56.47 | 11 |
| 6 0 -4 | 58.12 | 12 |
| 6 2 -1 | 71.26 | 20 |

[4]
The following is a calculated XRD peak list of Fe2C3. It was derived from a GGA-PBE-relaxed structure, using Cu Kα (λ = 1.5418 Å).

```
data_Fe2C3
_symmetry_space_group_name_H-M 'P -3 m 1'
_symmetry_Int_Tables_number 164
_symmetry_space_group_name_Hall '-P 3 2"'
_cell_length_a 2.6143
_cell_length_b 2.6143
_cell_length_c 6.7598
_cell_angle_alpha 90.00
_cell_angle_beta 90.00
_cell_angle_gamma 120.00
loop_
_atom_site_label
_atom_site_type_symbol
_atom_site_fract_x
_atom_site_fract_y
_atom_site_fract_z
Fe1 Fe 0.3333 0.6667 0.3291
C1 C 0.0000 0.0000 0.5000
C2 C 0.3333 0.6667 0.0186
```

Largest 10 diffraction maxima, by angle, 10 to 90 degrees two-theta:
| h k l | Position (°2θ) | I_rel |
| --- | --- | --- |
| 0 0 1 | 13.10 | 73 |
| 1 0 0 | 39.81 | 24 |
| 0 0 3 | 40.01 | 37 |
| 0 1 1 | 42.09 | 100 |
| 1 0 2 | 48.39 | 59 |
| 0 1 3 | 57.72 | 24 |
| 0 1 4 | 69.40 | 25 |
| 1 1 0 | 72.28 | 21 |
| 1 1 3 | 85.97 | 20 |
| 2 0 1 | 87.34 | 10 |

[5]
The following is a calculated XRD peak list of NiSbAs. It was derived from a GGA-PBE-relaxed structure, using Cu Kα (λ = 1.5418 Å).

```
data_NiSbAs
_symmetry_space_group_name_H-M 'P 1 21/c 1'
_symmetry_Int_Tables_number 14
_cell_length_a 6.2542
_cell_length_b 6.0966
_cell_length_c 6.2676
_cell_angle_alpha 90.00
_cell_angle_beta 106.83
_cell_angle_gamma 90.00
loop_
_symmetry_equiv_pos_as_xyz
'x,y,z'
'-x,-y,-z'
'-x,y+1/2,-z+1/2'
'x,-y+1/2,z+1/2'
loop_
_atom_site_label
_atom_site_type_symbol
_atom_site_fract_x
_atom_site_fract_y
_atom_site_fract_z
Ni1 Ni 0.2331 0.0101 0.2411
Sb1 Sb 0.3508 0.6303 0.1475
As1 As 0.1395 0.1419 0.8615
```

Largest 10 diffraction maxima, by angle, 10 to 90 degrees two-theta:
| h k l | Position (°2θ) | I_rel |
| --- | --- | --- |
| 1 1 1 | 28.04 | 17 |
| 2 0 0 | 29.82 | 42 |
| 2 1 0 | 33.32 | 100 |
| 1 2 -1 | 34.41 | 79 |
| 1 1 -3 | 46.01 | 61 |
| 2 0 2 | 48.81 | 27 |
| 1 3 1 | 51.18 | 35 |
| 2 3 0 | 54.57 | 14 |
| 1 2 3 | 61.08 | 30 |
| 2 4 -2 | 72.53 | 12 |

[6]
The following is a calculated XRD peak list of PrSm8Tm3. It was derived from a GGA-PBE-relaxed structure, using Cu Kα (λ = 1.5418 Å).

```
data_PrSm8Tm3
_symmetry_space_group_name_H-M 'I m m m'
_symmetry_Int_Tables_number 71
_symmetry_space_group_name_Hall '-I 2 2'
_cell_length_a 6.5654
_cell_length_b 11.3425
_cell_length_c 11.5298
_cell_angle_alpha 90.00
_cell_angle_beta 90.00
_cell_angle_gamma 90.00
loop_
_atom_site_label
_atom_site_type_symbol
_atom_site_fract_x
_atom_site_fract_y
_atom_site_fract_z
Pr1 Pr 0.0000 0.0000 0.0000
Sm1 Sm 0.0000 0.1660 0.2518
Sm2 Sm 0.2386 0.2654 0.0000
Tm1 Tm 0.0000 0.0000 0.5000
Tm2 Tm 0.0000 0.5000 0.2307
```

Largest 10 diffraction maxima, by angle, 10 to 90 degrees two-theta:
| h k l | Position (°2θ) | I_rel |
| --- | --- | --- |
| 1 1 2 | 21.97 | 17 |
| 2 0 0 | 27.20 | 19 |
| 0 0 4 | 31.03 | 37 |
| 1 3 2 | 31.39 | 100 |
| 2 2 0 | 31.51 | 27 |
| 2 2 2 | 35.24 | 35 |
| 2 2 4 | 44.81 | 19 |
| 3 3 2 | 50.76 | 24 |
| 1 3 6 | 55.42 | 18 |
| 2 6 4 | 65.54 | 15 |

[7]
The following is a calculated XRD peak list of La8GeRh3I4. It was derived from a GGA-PBE-relaxed structure, using Cu Kα (λ = 1.5418 Å).

```
data_La8GeRh3I4
_symmetry_space_group_name_H-M 'C 1 2/m 1'
_symmetry_Int_Tables_number 12
_cell_length_a 14.9904
_cell_length_b 8.6436
_cell_length_c 9.5604
_cell_angle_alpha 90.00
_cell_angle_beta 121.50
_cell_angle_gamma 90.00
loop_
_symmetry_equiv_pos_as_xyz
'x,y,z'
'-x,-y,-z'
'-x,y,-z'
'x,-y,z'
'x+1/2,y+1/2,z'
'-x+1/2,-y+1/2,-z'
'-x+1/2,y+1/2,-z'
'x+1/2,-y+1/2,z'
loop_
_atom_site_label
_atom_site_type_symbol
_atom_site_fract_x
_atom_site_fract_y
_atom_site_fract_z
La1 La 0.0241 0.2400 0.3129
La2 La 0.2310 0.0000 0.6917
La3 La 0.2355 0.5000 0.6869
Ge1 Ge 0.0000 0.5000 0.5000
Rh1 Rh 0.0000 0.0000 0.5000
Rh2 Rh 0.2500 0.2500 0.5000
I1 I 0.0000 0.0000 0.0000
I2 I 0.0000 0.5000 0.0000
I3 I 0.2500 0.2500 0.0000
```

Largest 10 diffraction maxima, by angle, 10 to 90 degrees two-theta:
| h k l | Position (°2θ) | I_rel |
| --- | --- | --- |
| 0 0 1 | 10.85 | 8 |
| 4 0 0 | 27.94 | 100 |
| 4 0 -3 | 30.05 | 14 |
| 0 0 3 | 32.96 | 8 |
| 2 2 -3 | 35.13 | 9 |
| 2 2 2 | 37.99 | 27 |
| 0 4 0 | 41.77 | 38 |
| 4 4 0 | 51.01 | 18 |
| 6 2 -5 | 54.21 | 11 |
| 10 2 -2 | 67.97 | 15 |

[8]
The following is a calculated XRD peak list of MgAl2O4. It was derived from a GGA-PBE-relaxed structure, using Cu Kα (λ = 1.5418 Å).

```
data_MgAl2O4
_symmetry_space_group_name_H-M 'P -6'
_symmetry_Int_Tables_number 174
_cell_length_a 8.7637
_cell_length_b 8.7637
_cell_length_c 2.8315
_cell_angle_alpha 90.00
_cell_angle_beta 90.00
_cell_angle_gamma 120.00
loop_
_symmetry_equiv_pos_as_xyz
'x,y,z'
'-x+y,-x,-z'
'-y,x-y,z'
'x,y,-z'
'-x+y,-x,z'
'-y,x-y,-z'
loop_
_atom_site_label
_atom_site_type_symbol
_atom_site_fract_x
_atom_site_fract_y
_atom_site_fract_z
Mg1 Mg 0.0000 0.0000 0.0000
Mg2 Mg 0.3333 0.6667 0.0000
Mg3 Mg 0.6667 0.3333 0.5000
Al1 Al 0.3230 0.0104 0.0000
Al2 Al 0.3436 0.3253 0.5000
O1 O 0.0390 0.4748 0.5000
O2 O 0.1418 0.7701 0.0000
O3 O 0.2026 0.0685 0.5000
O4 O 0.4642 0.2660 0.0000
```

Largest 10 diffraction maxima, by angle, 10 to 90 degrees two-theta:
| h k l | Position (°2θ) | I_rel |
| --- | --- | --- |
| 3 0 0 | 35.48 | 97 |
| 1 1 1 | 37.83 | 44 |
| 1 3 0 | 42.97 | 33 |
| 2 1 1 | 44.98 | 100 |
| 2 2 1 | 52.83 | 64 |
| 3 1 1 | 54.30 | 24 |
| 3 3 0 | 63.71 | 35 |
| 4 1 1 | 65.27 | 62 |
| 0 0 2 | 65.99 | 26 |
| 3 0 2 | 77.22 | 23 |